Computed powder XRD pattern
Compound: Li7Mn5O12
Radiation: a wavelength of 1.5418 Å
Structure: a structure optimized by DFT (PBE+U)
Neutral-atom scattering factors, no anomalous dispersion.

a = 5.225 Å, b = 2.884 Å, c = 14.678 Å
α = 90.00°, β = 92.79°, γ = 90.00°
Sites, in units of the cell vectors:
Li: 0.000 0.000 0.000
Li: 0.000 0.000 0.500
Li: 0.185 0.500 0.331
Li: 0.344 0.000 0.158
Li: 0.500 0.500 0.000
Li: 0.656 0.000 0.842
Li: 0.815 0.500 0.669
Mn: 0.129 0.500 0.842
Mn: 0.306 0.000 0.671
Mn: 0.500 0.500 0.500
Mn: 0.694 0.000 0.329
Mn: 0.871 0.500 0.158
O: 0.015 0.000 0.237
O: 0.151 0.500 0.089
O: 0.161 0.500 0.593
O: 0.304 0.000 0.908
O: 0.352 0.000 0.423
O: 0.440 0.500 0.750
O: 0.560 0.500 0.250
O: 0.648 0.000 0.577
O: 0.696 0.000 0.092
O: 0.839 0.500 0.407
O: 0.849 0.500 0.911
O: 0.985 0.000 0.763

The 10 most intense peaks (2θ = 10–90°), sorted by position:
| Position (°2θ) | I/Imax |
| --- | --- |
| 18.32 | 100.0 |
| 34.35 | 15.6 |
| 36.17 | 24.7 |
| 41.49 | 29.8 |
| 44.03 | 59.2 |
| 58.05 | 9.3 |
| 61.86 | 14.9 |
| 62.33 | 14.1 |
| 63.43 | 8.2 |
| 64.64 | 8.1 |